Theoretical PXRD pattern
Compound: HCl
Radiation: Cu Ka
Structure: a GGA-PBE-relaxed structure
Lines closer than 0.1° are merged.

Top 10 peaks for 2θ from 10° to 90°, by intensity:
26.07 deg, I 100; 25.71 deg, I 92; 29.40 deg, I 63; 43.34 deg, I 37; 31.12 deg, I 30; 49.74 deg, I 23; 50.36 deg, I 23; 42.54 deg, I 11; 52.38 deg, I 11; 41.58 deg, I 10

Cell and atoms:
abc: 4.251 5.748 4.344
angles: 90.00 90.00 90.00
Space group Imm2 (No. 44)
Asymmetric unit:
H 0.000 0.000 0.000 (multiplicity 2)
Cl 0.000 0.000 0.295 (multiplicity 2)

***

Theoretical PXRD pattern
Compound: BaNb6HO16
Radiation: Cu Ka
Structure: a GGA-PBE-relaxed structure
Lines closer than 0.1° are merged.

Top 10 peaks for 2θ from 10° to 90°, by intensity:
26.03 deg, I 100; 15.85 deg, I 78; 31.04 deg, I 60; 26.51 deg, I 50; 26.19 deg, I 35; 42.37 deg, I 34; 54.60 deg, I 24; 47.10 deg, I 22; 33.10 deg, I 21; 65.21 deg, I 20

Cell and atoms:
abc: 3.859 8.837 21.652
angles: 90.00 90.00 90.00
Space group Immm (No. 71)
Asymmetric unit:
Ba 0.000 0.000 0.000 (multiplicity 2)
Nb 0.000 0.194 0.371 (multiplicity 8)
Nb 0.000 0.500 0.240 (multiplicity 4)
H 0.000 0.500 0.000 (multiplicity 2)
O 0.000 0.000 0.287 (multiplicity 4)
O 0.000 0.000 0.415 (multiplicity 4)
O 0.000 0.330 0.433 (multiplicity 8)
O 0.000 0.337 0.153 (multiplicity 8)
O 0.000 0.343 0.296 (multiplicity 8)

***

Theoretical PXRD pattern
Compound: Na7TiNb2Si4P2O29F
Radiation: Cu Ka
Structure: a GGA-PBE-relaxed structure
Lines closer than 0.1° are merged.

Top 10 peaks for 2θ from 10° to 90°, by intensity:
20.62 deg, I 100; 30.52 deg, I 92; 32.00 deg, I 78; 32.44 deg, I 73; 12.11 deg, I 70; 16.85 deg, I 59; 33.01 deg, I 55; 29.72 deg, I 55; 33.56 deg, I 37; 50.16 deg, I 36

Cell and atoms:
abc: 5.545 7.280 14.725
angles: 92.13 95.52 90.45
Space group P1 (No. 1)
Asymmetric unit:
Na 0.000 0.000 0.000 (multiplicity 1)
Na 0.006 0.528 0.998 (multiplicity 1)
Na 0.200 0.763 0.233 (multiplicity 1)
Na 0.315 0.256 0.636 (multiplicity 1)
Na 0.497 0.261 0.000 (multiplicity 1)
Na 0.666 0.741 0.395 (multiplicity 1)
Na 0.793 0.747 0.755 (multiplicity 1)
Ti 0.525 0.763 0.990 (multiplicity 1)
Nb 0.194 0.271 0.210 (multiplicity 1)
Nb 0.802 0.251 0.787 (multiplicity 1)
Si 0.301 0.965 0.812 (multiplicity 1)
Si 0.315 0.539 0.805 (multiplicity 1)
Si 0.682 0.982 0.192 (multiplicity 1)
Si 0.690 0.560 0.184 (multiplicity 1)
P 0.190 0.500 0.435 (multiplicity 1)
P 0.808 0.026 0.561 (multiplicity 1)
O 0.038 0.048 0.775 (multiplicity 1)
O 0.066 0.432 0.761 (multiplicity 1)
O 0.090 0.025 0.556 (multiplicity 1)
O 0.171 0.254 0.088 (multiplicity 1)
O 0.248 0.323 0.376 (multiplicity 1)
O 0.257 0.032 0.428 (multiplicity 1)
O 0.261 0.672 0.388 (multiplicity 1)
O 0.295 0.751 0.767 (multiplicity 1)
O 0.323 0.485 0.534 (multiplicity 1)
O 0.334 0.773 0.601 (multiplicity 1)
O 0.336 0.962 0.922 (multiplicity 1)
O 0.338 0.551 0.916 (multiplicity 1)
O 0.444 0.070 0.235 (multiplicity 1)
O 0.464 0.458 0.225 (multiplicity 1)
O 0.519 0.073 0.768 (multiplicity 1)
O 0.550 0.451 0.760 (multiplicity 1)
O 0.656 0.968 0.081 (multiplicity 1)
O 0.657 0.566 0.074 (multiplicity 1)
O 0.675 0.260 0.373 (multiplicity 1)
O 0.676 0.030 0.462 (multiplicity 1)
O 0.699 0.771 0.233 (multiplicity 1)
O 0.734 0.842 0.602 (multiplicity 1)
O 0.741 0.494 0.569 (multiplicity 1)
O 0.746 0.194 0.622 (multiplicity 1)
O 0.757 0.763 0.921 (multiplicity 1)
O 0.824 0.269 0.909 (multiplicity 1)
O 0.908 0.504 0.443 (multiplicity 1)
O 0.936 0.084 0.232 (multiplicity 1)
O 0.952 0.473 0.219 (multiplicity 1)
F 0.221 0.763 0.075 (multiplicity 1)

***

Theoretical PXRD pattern
Compound: HgSNCl
Radiation: Cu Ka
Structure: a GGA-PBE-relaxed structure
Lines closer than 0.1° are merged.

Top 10 peaks for 2θ from 10° to 90°, by intensity:
15.66 deg, I 100; 20.54 deg, I 83; 30.15 deg, I 54; 28.08 deg, I 50; 24.03 deg, I 50; 15.02 deg, I 46; 42.14 deg, I 35; 28.74 deg, I 33; 27.57 deg, I 29; 45.46 deg, I 27

Cell and atoms:
abc: 6.702 6.355 12.423
angles: 90.00 90.00 90.00
Space group Pnma (No. 62)
Asymmetric unit:
Hg 0.116 0.250 0.123 (multiplicity 4)
S 0.177 0.250 0.914 (multiplicity 4)
N 0.107 0.750 0.385 (multiplicity 4)
Cl 0.043 0.250 0.321 (multiplicity 4)